# Zr9Pt11
Theoretical PXRD pattern, Cu Ka. Input: the PBE geometry in the Materials Project.

Peak list (10 most intense, 10 to 80 degrees two-theta, low angle first)
26.86 deg, I 143
33.44 deg, I 72
37.72 deg, I 1000
38.36 deg, I 516
44.02 deg, I 122
53.42 deg, I 67
55.37 deg, I 112
67.66 deg, I 117
68.94 deg, I 186
74.15 deg, I 71

Structure:
```
Zr9Pt11
1.0
-5.2474 5.2474 3.4300
5.2474 -5.2474 3.4300
5.2474 5.2474 -3.4300
Zr Pt
9 11
Direct
0.0000 0.0000 0.0000 Zr
0.0954 0.6927 0.7881 Zr
0.2468 0.4179 0.6647 Zr
0.3073 0.0954 0.4027 Zr
0.4179 0.7532 0.1711 Zr
0.5821 0.2468 0.8289 Zr
0.6927 0.9046 0.5973 Zr
0.7532 0.5821 0.3353 Zr
0.9046 0.3073 0.2119 Zr
0.0178 0.6760 0.1130 Pt
0.0951 0.9822 0.6582 Pt
0.2500 0.7500 0.5000 Pt
0.3240 0.4370 0.3418 Pt
0.4370 0.0951 0.1130 Pt
0.5000 0.5000 0.0000 Pt
0.5630 0.9049 0.8870 Pt
0.6760 0.5630 0.6582 Pt
0.7500 0.2500 0.5000 Pt
0.9049 0.0178 0.3418 Pt
0.9822 0.3240 0.8870 Pt
```